The following is a theoretical powder diffractogram of Tb3Ce. It was derived from DFT lattice parameters and positions (GGA-PBE), using Cu Kα (λ = 1.5418 Å).
Neutral-atom scattering factors, no anomalous dispersion.

Structure:
Cell lengths 7.1579, 7.1579, 5.7412 Å; angles 90.00, 90.00, 120.00 degrees
Space group P6_3/mmc (No. 194)
Asymmetric unit:
Tb: 0.1672 0.3344 0.2500 x6
Ce: 0.3333 0.6667 0.7500 x2

Top 10 peaks for 10 to 90 degrees two-theta, most intense first:
| two_theta | I (rel.) | hkl |
| --- | --- | --- |
| 32.8 | 100 | 2 0 1 |
| 31.2 | 26 | 0 0 2 |
| 28.8 | 23 | 2 0 0 |
| 61.0 | 23 | 2 2 2 |
| 56.5 | 21 | 2 0 3 |
| 51.0 | 19 | 2 2 0 |
| 62.0 | 16 | 4 0 1 |
| 42.9 | 16 | 2 0 2 |
| 84.4 | 14 | 4 2 1 |
| 87.0 | 9 | 2 2 4 |

The following is a theoretical powder diffractogram of Tb3Ce. It was derived from DFT lattice parameters and positions (GGA-PBE), using Cu Kα (λ = 1.5418 Å).
Neutral-atom scattering factors, no anomalous dispersion.

Structure:
Cell lengths 3.5558, 3.5558, 11.5917 Å; angles 90.00, 90.00, 120.00 degrees
Space group P-6m2 (No. 187)
Asymmetric unit:
Tb: 0.0000 0.0000 0.0000 x1
Tb: 0.6667 0.3333 0.2501 x2
Ce: 0.0000 0.0000 0.5000 x1

Top 10 peaks for 10 to 90 degrees two-theta, most intense first:
| two_theta | I (rel.) | hkl |
| --- | --- | --- |
| 32.9 | 100 | 1 0 2 |
| 30.9 | 26 | 0 0 4 |
| 29.0 | 23 | 1 0 0 |
| 61.2 | 23 | 1 1 4 |
| 56.2 | 22 | 1 0 6 |
| 51.4 | 19 | 1 1 0 |
| 42.9 | 16 | 1 0 4 |
| 62.4 | 16 | 2 0 2 |
| 85.0 | 14 | 2 1 2 |
| 86.7 | 9 | 1 1 8 |

The following is a theoretical powder diffractogram of Ce2Te3. It was derived from DFT lattice parameters and positions (GGA-PBE), using Cu Kα (λ = 1.5418 Å).
Neutral-atom scattering factors, no anomalous dispersion.

Structure:
Cell lengths 12.3205, 4.4492, 11.9490 Å; angles 90.00, 90.00, 90.00 degrees
Space group Pnma (No. 62)
Asymmetric unit:
Ce: 0.0143 0.2500 0.1869 x4
Ce: 0.1955 0.2500 0.5003 x4
Te: 0.0451 0.7500 0.3755 x4
Te: 0.1206 0.2500 0.9428 x4
Te: 0.2265 0.7500 0.7019 x4

Top 10 peaks for 10 to 90 degrees two-theta, most intense first:
| two_theta | I (rel.) | hkl |
| --- | --- | --- |
| 33.3 | 100 | 3 1 2 |
| 40.5 | 71 | 0 2 0 |
| 30.1 | 69 | 0 1 3 |
| 28.9 | 67 | 2 1 2 |
| 31.0 | 60 | 1 1 3 |
| 30.6 | 54 | 3 1 1 |
| 26.0 | 42 | 1 1 2 |
| 36.3 | 40 | 4 1 1 |
| 61.2 | 35 | 3 2 5 |
| 26.3 | 34 | 3 0 2 |

Copy entry 1 word for word.
The following is a theoretical powder diffractogram of Tb3Ce. It was derived from DFT lattice parameters and positions (GGA-PBE), using Cu Kα (λ = 1.5418 Å).
Neutral-atom scattering factors, no anomalous dispersion.

Structure:
Cell lengths 7.1579, 7.1579, 5.7412 Å; angles 90.00, 90.00, 120.00 degrees
Space group P6_3/mmc (No. 194)
Asymmetric unit:
Tb: 0.1672 0.3344 0.2500 x6
Ce: 0.3333 0.6667 0.7500 x2

Top 10 peaks for 10 to 90 degrees two-theta, most intense first:
| two_theta | I (rel.) | hkl |
| --- | --- | --- |
| 32.8 | 100 | 2 0 1 |
| 31.2 | 26 | 0 0 2 |
| 28.8 | 23 | 2 0 0 |
| 61.0 | 23 | 2 2 2 |
| 56.5 | 21 | 2 0 3 |
| 51.0 | 19 | 2 2 0 |
| 62.0 | 16 | 4 0 1 |
| 42.9 | 16 | 2 0 2 |
| 84.4 | 14 | 4 2 1 |
| 87.0 | 9 | 2 2 4 |